No. 1
This entry pairs a crystal structure of LaTb3Pr8 with its simulated X-ray powder pattern. Radiation: Cu Kα (weighted mean of Kα1 and Kα2). Structure: a PBE-relaxed structure.
Kinematic intensities with the Lorentz-polarization factor, no thermal factor.

Atomic structure:
a = 8.5786 Å, b = 8.5786 Å, c = 8.5786 Å
α = 117.77°, β = 117.77°, γ = 93.90°
Fractional positions:
La 0.0000 0.0000 0.0000
Tb 0.2500 0.7500 0.5000
Tb 0.5000 0.5000 0.0000
Tb 0.7500 0.2500 0.5000
Pr 0.1284 0.1284 0.7533
Pr 0.2464 0.7438 0.0000
Pr 0.2562 0.2562 0.5026
Pr 0.3751 0.3751 0.2467
Pr 0.6249 0.8716 0.0000
Pr 0.7438 0.2464 0.0000
Pr 0.7536 0.7536 0.4974
Pr 0.8716 0.6249 0.0000

Top 10 peaks for 2θ from 15° to 90°, sorted by position:
- 3.755 Å, 23.69°, I = 57
- 3.534 Å, 25.20°, I = 55
- 3.134 Å, 28.48°, I = 79
- 2.928 Å, 30.53°, I = 72
- 2.782 Å, 32.18°, I = 26
- 2.529 Å, 35.50°, I = 100
- 2.140 Å, 42.24°, I = 54
- 2.073 Å, 43.67°, I = 44
- 1.667 Å, 55.10°, I = 30
- 1.382 Å, 67.82°, I = 32

No. 2
This entry pairs a crystal structure of La2Tb2Pr with its simulated X-ray powder pattern. Radiation: Cu Kα (weighted mean of Kα1 and Kα2). Structure: a PBE-relaxed structure.
Kinematic intensities with the Lorentz-polarization factor, no thermal factor.

Atomic structure:
a = 8.2328 Å, b = 8.2328 Å, c = 8.2328 Å
α = 98.81°, β = 98.81°, γ = 133.93°
Fractional positions:
La 0.1093 0.6093 0.7185
La 0.3907 0.1093 0.5000
La 0.6093 0.8907 0.5000
La 0.8907 0.3907 0.2815
Tb 0.1888 0.3112 0.5000
Tb 0.3112 0.8112 0.1224
Tb 0.6888 0.1888 0.8776
Tb 0.8112 0.6888 0.5000
Pr 0.2500 0.2500 0.0000
Pr 0.7500 0.7500 0.0000

Top 10 peaks for 2θ from 15° to 90°, sorted by position:
- 3.788 Å, 23.48°, I = 54
- 3.388 Å, 26.30°, I = 100
- 3.221 Å, 27.69°, I = 36
- 2.964 Å, 30.15°, I = 71
- 2.761 Å, 32.43°, I = 47
- 2.698 Å, 33.20°, I = 95
- 2.410 Å, 37.31°, I = 84
- 2.060 Å, 43.96°, I = 30
- 1.987 Å, 45.65°, I = 40
- 1.699 Å, 53.96°, I = 29

No. 3
This entry pairs a crystal structure of La4TbPr6 with its simulated X-ray powder pattern. Radiation: Cu Kα (weighted mean of Kα1 and Kα2). Structure: a PBE-relaxed structure.
Kinematic intensities with the Lorentz-polarization factor, no thermal factor.

Atomic structure:
a = 9.7459 Å, b = 9.7459 Å, c = 9.7459 Å
α = 138.05°, β = 138.05°, γ = 60.83°
Fractional positions:
La 0.1337 0.1337 0.6278
La 0.4941 0.8663 0.0000
La 0.5059 0.5059 0.3722
La 0.8663 0.4941 0.0000
Tb 0.5000 0.5000 0.0000
Pr 0.0000 0.5000 0.5000
Pr 0.0522 0.7186 0.0000
Pr 0.2814 0.2814 0.3337
Pr 0.5000 0.0000 0.5000
Pr 0.7186 0.0522 0.0000
Pr 0.9478 0.9478 0.6663

Top 10 peaks for 2θ from 15° to 90°, sorted by position:
- 3.222 Å, 27.68°, I = 58
- 3.199 Å, 27.89°, I = 54
- 3.068 Å, 29.10°, I = 100
- 3.029 Å, 29.49°, I = 40
- 2.726 Å, 32.85°, I = 21
- 2.684 Å, 33.38°, I = 52
- 2.467 Å, 36.42°, I = 24
- 2.436 Å, 36.90°, I = 26
- 1.684 Å, 54.49°, I = 26
- 1.677 Å, 54.73°, I = 21

No. 4
This entry pairs a crystal structure of La2Tb7Pr with its simulated X-ray powder pattern. Radiation: Cu Kα (weighted mean of Kα1 and Kα2). Structure: a PBE-relaxed structure.
Kinematic intensities with the Lorentz-polarization factor, no thermal factor.

Atomic structure:
a = 6.2453 Å, b = 6.2648 Å, c = 9.5683 Å
α = 102.60°, β = 108.88°, γ = 99.65°
Fractional positions:
La 0.0999 0.9999 0.1995
La 0.9001 0.0001 0.8005
Tb 0.1032 0.5009 0.7006
Tb 0.2976 0.0002 0.6002
Tb 0.3020 0.5015 0.0990
Tb 0.5000 0.0000 0.0000
Tb 0.6980 0.4985 0.9010
Tb 0.7024 0.9998 0.3998
Tb 0.8968 0.4991 0.2994
Pr 0.5000 0.5000 0.5000

Top 10 peaks for 2θ from 15° to 90°, sorted by position:
- 2.953 Å, 30.26°, I = 100
- 2.946 Å, 30.34°, I = 33
- 2.559 Å, 35.06°, I = 23
- 2.554 Å, 35.13°, I = 45
- 1.810 Å, 50.41°, I = 16
- 1.807 Å, 50.51°, I = 24
- 1.543 Å, 59.94°, I = 24
- 1.541 Å, 60.03°, I = 19
- 1.538 Å, 60.16°, I = 14
- 1.144 Å, 84.78°, I = 9

No. 5
This entry pairs a crystal structure of La4TbPr5 with its simulated X-ray powder pattern. Radiation: Cu Kα (weighted mean of Kα1 and Kα2). Structure: a PBE-relaxed structure.
Kinematic intensities with the Lorentz-polarization factor, no thermal factor.

Atomic structure:
a = 10.8202 Å, b = 10.8202 Å, c = 6.0859 Å
α = 90.00°, β = 90.00°, γ = 90.00°
Fractional positions:
La 0.0494 0.7500 0.1294
La 0.2500 0.5494 0.8706
La 0.2500 0.9506 0.8706
La 0.4506 0.7500 0.1294
La 0.5494 0.2500 0.8706
La 0.7500 0.0494 0.1294
La 0.7500 0.4506 0.1294
La 0.9506 0.2500 0.8706
Tb 0.2500 0.2500 0.8317
Tb 0.7500 0.7500 0.1683
Pr 0.0909 0.0909 0.3465
Pr 0.0909 0.4091 0.3465
Pr 0.2500 0.7500 0.5000
Pr 0.4091 0.0909 0.3465
Pr 0.4091 0.4091 0.3465
Pr 0.5909 0.5909 0.6535
Pr 0.5909 0.9091 0.6535
Pr 0.7500 0.2500 0.5000
Pr 0.9091 0.5909 0.6535
Pr 0.9091 0.9091 0.6535

Top 10 peaks for 2θ from 15° to 90°, sorted by position:
- 3.239 Å, 27.54°, I = 22
- 3.103 Å, 28.77°, I = 100
- 2.983 Å, 29.96°, I = 46
- 2.929 Å, 30.52°, I = 35
- 2.550 Å, 35.19°, I = 33
- 1.803 Å, 50.62°, I = 16
- 1.764 Å, 51.84°, I = 28
- 1.623 Å, 56.72°, I = 14
- 1.559 Å, 59.27°, I = 18
- 1.307 Å, 72.30°, I = 12

No. 6
This entry pairs a crystal structure of La4TbPr3 with its simulated X-ray powder pattern. Radiation: Cu Kα (weighted mean of Kα1 and Kα2). Structure: a PBE-relaxed structure.
Kinematic intensities with the Lorentz-polarization factor, no thermal factor.

Atomic structure:
a = 9.1577 Å, b = 9.1577 Å, c = 3.4997 Å
α = 90.00°, β = 90.00°, γ = 97.90°
Fractional positions:
La 0.2448 0.7552 0.0000
La 0.2476 0.2476 0.5000
La 0.7524 0.7524 0.5000
La 0.7552 0.2448 0.0000
Tb 0.0000 0.0000 0.0000
Pr 0.0000 0.5000 0.5000
Pr 0.5000 0.0000 0.5000
Pr 0.5000 0.5000 0.0000

Top 10 peaks for 2θ from 15° to 90°, sorted by position:
- 3.453 Å, 25.80°, I = 70
- 3.025 Å, 29.53°, I = 100
- 3.007 Å, 29.71°, I = 49
- 2.275 Å, 39.61°, I = 90
- 2.268 Å, 39.75°, I = 45
- 1.740 Å, 52.61°, I = 20
- 1.554 Å, 59.50°, I = 27
- 1.499 Å, 61.91°, I = 36
- 1.385 Å, 67.62°, I = 18
- 1.138 Å, 85.32°, I = 15

No. 7
This entry pairs a crystal structure of La4TbPr3 with its simulated X-ray powder pattern. Radiation: Cu Kα (weighted mean of Kα1 and Kα2). Structure: a PBE-relaxed structure.
Kinematic intensities with the Lorentz-polarization factor, no thermal factor.

Atomic structure:
a = 13.0753 Å, b = 13.0753 Å, c = 6.3308 Å
α = 93.96°, β = 93.96°, γ = 15.63°
Fractional positions:
La 0.1053 0.1053 0.2294
La 0.2798 0.2798 0.7566
La 0.7202 0.7202 0.2434
La 0.8947 0.8947 0.7706
Tb 0.5000 0.5000 0.0000
Pr 0.0000 0.0000 0.5000
Pr 0.1442 0.1442 0.7410
Pr 0.8558 0.8558 0.2590

Top 10 peaks for 2θ from 15° to 90°, sorted by position:
- 3.522 Å, 25.28°, I = 40
- 3.231 Å, 27.61°, I = 60
- 3.118 Å, 28.63°, I = 61
- 3.089 Å, 28.91°, I = 100
- 2.961 Å, 30.18°, I = 60
- 2.929 Å, 30.52°, I = 73
- 2.918 Å, 30.63°, I = 40
- 2.884 Å, 31.01°, I = 97
- 2.798 Å, 31.99°, I = 60
- 2.561 Å, 35.04°, I = 42

No. 8
This entry pairs a crystal structure of La15Tb4Pr with its simulated X-ray powder pattern. Radiation: Cu Kα (weighted mean of Kα1 and Kα2). Structure: a PBE-relaxed structure.
Kinematic intensities with the Lorentz-polarization factor, no thermal factor.

Atomic structure:
a = 5.2228 Å, b = 5.2228 Å, c = 26.1630 Å
α = 90.00°, β = 90.00°, γ = 90.00°
Fractional positions:
La 0.0000 0.0000 0.0000
La 0.0000 0.0000 0.2015
La 0.0000 0.0000 0.4004
La 0.0000 0.0000 0.5996
La 0.0000 0.0000 0.7985
La 0.0000 0.5000 0.1015
La 0.0000 0.5000 0.3010
La 0.0000 0.5000 0.5000
La 0.0000 0.5000 0.6990
La 0.0000 0.5000 0.8985
La 0.5000 0.0000 0.1015
La 0.5000 0.0000 0.3010
La 0.5000 0.0000 0.5000
La 0.5000 0.0000 0.6990
La 0.5000 0.0000 0.8985
Tb 0.5000 0.5000 0.2014
Tb 0.5000 0.5000 0.4004
Tb 0.5000 0.5000 0.5996
Tb 0.5000 0.5000 0.7986
Pr 0.5000 0.5000 0.0000

Top 10 peaks for 2θ from 15° to 90°, sorted by position:
- 3.017 Å, 29.61°, I = 100
- 2.613 Å, 34.32°, I = 51
- 1.848 Å, 49.32°, I = 36
- 1.576 Å, 58.58°, I = 43
- 1.509 Å, 61.46°, I = 12
- 1.308 Å, 72.22°, I = 2
- 1.306 Å, 72.37°, I = 4
- 1.199 Å, 80.03°, I = 17
- 1.170 Å, 82.47°, I = 5
- 1.168 Å, 82.60°, I = 11

No. 9
This entry pairs a crystal structure of La4Tb7Pr with its simulated X-ray powder pattern. Radiation: Cu Kα (weighted mean of Kα1 and Kα2). Structure: a PBE-relaxed structure.
Kinematic intensities with the Lorentz-polarization factor, no thermal factor.

Atomic structure:
a = 3.6415 Å, b = 3.6415 Å, c = 35.4563 Å
α = 90.00°, β = 90.00°, γ = 120.00°
Fractional positions:
La 0.3333 0.6667 0.1670
La 0.3333 0.6667 0.4163
La 0.6667 0.3333 0.5837
La 0.6667 0.3333 0.8330
Tb 0.0000 0.0000 0.2514
Tb 0.0000 0.0000 0.5000
Tb 0.0000 0.0000 0.7486
Tb 0.3333 0.6667 0.6680
Tb 0.3333 0.6667 0.9170
Tb 0.6667 0.3333 0.0830
Tb 0.6667 0.3333 0.3320
Pr 0.0000 0.0000 0.0000

Top 10 peaks for 2θ from 15° to 90°, sorted by position:
- 2.971 Å, 30.08°, I = 100
- 2.955 Å, 30.25°, I = 33
- 2.570 Å, 34.92°, I = 67
- 1.821 Å, 50.10°, I = 24
- 1.813 Å, 50.32°, I = 24
- 1.551 Å, 59.62°, I = 43
- 1.545 Å, 59.85°, I = 14
- 1.486 Å, 62.52°, I = 12
- 1.181 Å, 81.48°, I = 12
- 1.151 Å, 84.10°, I = 11

No. 10
This entry pairs a crystal structure of LaTb5Pr12 with its simulated X-ray powder pattern. Radiation: Cu Kα (weighted mean of Kα1 and Kα2). Structure: a PBE-relaxed structure.
Kinematic intensities with the Lorentz-polarization factor, no thermal factor.

Atomic structure:
a = 11.0246 Å, b = 5.2057 Å, c = 11.0348 Å
α = 90.00°, β = 90.07°, γ = 90.00°
Fractional positions:
La 0.0000 0.0000 0.0000
Tb 0.1683 0.5000 0.8317
Tb 0.3332 0.0000 0.6668
Tb 0.5000 0.5000 0.5000
Tb 0.6668 0.0000 0.3332
Tb 0.8317 0.5000 0.1683
Pr 0.0019 0.0000 0.6666
Pr 0.1669 0.5000 0.1670
Pr 0.1694 0.5000 0.5021
Pr 0.3333 0.0000 0.9981
Pr 0.3359 0.0000 0.3358
Pr 0.4978 0.5000 0.8306
Pr 0.5022 0.5000 0.1694
Pr 0.6641 0.0000 0.6642
Pr 0.6667 0.0000 0.0019
Pr 0.8306 0.5000 0.4979
Pr 0.8331 0.5000 0.8330
Pr 0.9981 0.0000 0.3334

Top 10 peaks for 2θ from 15° to 90°, sorted by position:
- 3.003 Å, 29.75°, I = 100
- 2.601 Å, 34.49°, I = 51
- 1.839 Å, 49.57°, I = 36
- 1.569 Å, 58.87°, I = 36
- 1.567 Å, 58.95°, I = 7
- 1.502 Å, 61.78°, I = 12
- 1.301 Å, 72.68°, I = 4
- 1.194 Å, 80.47°, I = 15
- 1.164 Å, 82.98°, I = 10
- 1.162 Å, 83.09°, I = 7

No. 11
This entry pairs a crystal structure of La3TbPr5 with its simulated X-ray powder pattern. Radiation: Cu Kα (weighted mean of Kα1 and Kα2). Structure: a PBE-relaxed structure.
Kinematic intensities with the Lorentz-polarization factor, no thermal factor.

Atomic structure:
a = 8.0183 Å, b = 8.0183 Å, c = 12.2293 Å
α = 95.26°, β = 95.26°, γ = 61.66°
Fractional positions:
La 0.0000 0.0000 0.0000
La 0.0000 0.0000 0.5000
La 0.2658 0.2658 0.4900
La 0.3391 0.3391 0.7767
La 0.6609 0.6609 0.2233
La 0.7342 0.7342 0.5100
Tb 0.1106 0.1106 0.2565
Tb 0.8894 0.8894 0.7435
Pr 0.0854 0.6625 0.2409
Pr 0.2453 0.2453 0.0268
Pr 0.3287 0.6713 0.0000
Pr 0.3375 0.9146 0.7591
Pr 0.4974 0.4974 0.3727
Pr 0.5026 0.5026 0.6273
Pr 0.6625 0.0854 0.2409
Pr 0.6713 0.3287 0.0000
Pr 0.7547 0.7547 0.9732
Pr 0.9146 0.3375 0.7591

Top 10 peaks for 2θ from 15° to 90°, sorted by position:
- 4.109 Å, 21.63°, I = 42
- 3.433 Å, 25.95°, I = 37
- 3.335 Å, 26.73°, I = 100
- 3.129 Å, 28.53°, I = 79
- 3.040 Å, 29.38°, I = 60
- 2.984 Å, 29.94°, I = 37
- 2.854 Å, 31.35°, I = 97
- 2.632 Å, 34.07°, I = 37
- 2.590 Å, 34.64°, I = 31
- 2.055 Å, 44.07°, I = 32

No. 12
This entry pairs a crystal structure of La3Tb2Pr6 with its simulated X-ray powder pattern. Radiation: Cu Kα (weighted mean of Kα1 and Kα2). Structure: a PBE-relaxed structure.
Kinematic intensities with the Lorentz-polarization factor, no thermal factor.

Atomic structure:
a = 6.9522 Å, b = 7.1330 Å, c = 8.6815 Å
α = 76.91°, β = 76.78°, γ = 77.02°
Fractional positions:
La 0.0000 0.0000 0.0000
La 0.3356 0.1525 0.6355
La 0.6644 0.8475 0.3645
Tb 0.1670 0.5207 0.3061
Tb 0.8330 0.4793 0.6939
Pr 0.1772 0.9811 0.3423
Pr 0.2767 0.6456 0.7119
Pr 0.4524 0.2498 0.0071
Pr 0.5476 0.7502 0.9929
Pr 0.7233 0.3544 0.2881
Pr 0.8228 0.0189 0.6577

Top 10 peaks for 2θ from 15° to 90°, sorted by position:
- 3.290 Å, 27.11°, I = 22
- 3.006 Å, 29.72°, I = 75
- 2.971 Å, 30.07°, I = 27
- 2.909 Å, 30.74°, I = 100
- 2.873 Å, 31.13°, I = 86
- 2.836 Å, 31.55°, I = 57
- 2.811 Å, 31.83°, I = 51
- 2.769 Å, 32.33°, I = 67
- 2.751 Å, 32.54°, I = 38
- 2.122 Å, 42.60°, I = 18

Q: Number 9 is which compound?
A: La4Tb7Pr

Repeat the ninth record exactly.
This entry pairs a crystal structure of La4Tb7Pr with its simulated X-ray powder pattern. Radiation: Cu Kα (weighted mean of Kα1 and Kα2). Structure: a PBE-relaxed structure.
Kinematic intensities with the Lorentz-polarization factor, no thermal factor.

Atomic structure:
a = 3.6415 Å, b = 3.6415 Å, c = 35.4563 Å
α = 90.00°, β = 90.00°, γ = 120.00°
Fractional positions:
La 0.3333 0.6667 0.1670
La 0.3333 0.6667 0.4163
La 0.6667 0.3333 0.5837
La 0.6667 0.3333 0.8330
Tb 0.0000 0.0000 0.2514
Tb 0.0000 0.0000 0.5000
Tb 0.0000 0.0000 0.7486
Tb 0.3333 0.6667 0.6680
Tb 0.3333 0.6667 0.9170
Tb 0.6667 0.3333 0.0830
Tb 0.6667 0.3333 0.3320
Pr 0.0000 0.0000 0.0000

Top 10 peaks for 2θ from 15° to 90°, sorted by position:
- 2.971 Å, 30.08°, I = 100
- 2.955 Å, 30.25°, I = 33
- 2.570 Å, 34.92°, I = 67
- 1.821 Å, 50.10°, I = 24
- 1.813 Å, 50.32°, I = 24
- 1.551 Å, 59.62°, I = 43
- 1.545 Å, 59.85°, I = 14
- 1.486 Å, 62.52°, I = 12
- 1.181 Å, 81.48°, I = 12
- 1.151 Å, 84.10°, I = 11